No. 1
Diffraction record for Rb4Pa3Te8Pd. The PXRD pattern is calculated, not measured: it uses a DFT-relaxed cell (PBE, Alexandria) and a wavelength of 1.5418 Å.
Lines closer than 0.1° are merged.

Atomic structure:
Cell lengths 8.942, 8.942, 10.022 Å; angles 116.55, 116.55, 59.91 degrees
Atoms (fractional coordinates):
Rb  0.000  0.000  0.000
Rb  0.000  0.500  0.000
Rb  0.500  0.000  0.000
Rb  0.500  0.500  0.000
Pa  0.000  0.000  0.500
Pa  0.000  0.500  0.500
Pa  0.500  0.000  0.500
Te  0.235  0.235  0.706
Te  0.237  0.728  0.693
Te  0.271  0.271  0.306
Te  0.272  0.763  0.307
Te  0.728  0.237  0.693
Te  0.729  0.729  0.694
Te  0.763  0.272  0.307
Te  0.765  0.765  0.294
Pd  0.500  0.500  0.500

Main lines, most intense first (2θ = 10–90°):
- 26.88°, rel. 100
- 10.30°, rel. 40
- 40.36°, rel. 37
- 36.30°, rel. 34
- 49.16°, rel. 19
- 33.61°, rel. 18
- 45.26°, rel. 11
- 59.74°, rel. 11



No. 2
Diffraction record for Pa4RePd. The PXRD pattern is calculated, not measured: it uses a DFT-relaxed cell (PBE, Alexandria) and a wavelength of 1.5418 Å.
Lines closer than 0.1° are merged.

Atomic structure:
Cell lengths 6.906, 6.906, 5.725 Å; angles 90.00, 90.00, 90.00 degrees
Atoms (fractional coordinates):
Pa  0.143  0.341  0.000
Pa  0.143  0.659  0.500
Pa  0.341  0.143  0.500
Pa  0.341  0.857  0.000
Pa  0.659  0.143  0.000
Pa  0.659  0.857  0.500
Pa  0.857  0.341  0.500
Pa  0.857  0.659  0.000
Re  0.000  0.000  0.250
Re  0.000  0.000  0.750
Pd  0.500  0.500  0.250
Pd  0.500  0.500  0.750

Main lines, most intense first (2θ = 10–90°):
- 32.95°, rel. 100
- 41.35°, rel. 35
- 36.38°, rel. 29
- 56.70°, rel. 22
- 40.95°, rel. 20
- 66.03°, rel. 18
- 62.86°, rel. 17
- 76.06°, rel. 14



No. 3
Diffraction record for Pa2PdRh4. The PXRD pattern is calculated, not measured: it uses a DFT-relaxed cell (PBE, Alexandria) and a wavelength of 1.5418 Å.
Lines closer than 0.1° are merged.

Atomic structure:
Cell lengths 4.775, 7.509, 7.347 Å; angles 90.00, 103.70, 90.00 degrees
Atoms (fractional coordinates):
Pa  0.103  0.051  0.261
Pa  0.103  0.449  0.761
Pa  0.897  0.551  0.239
Pa  0.897  0.949  0.739
Pd  0.500  0.000  0.000
Pd  0.500  0.500  0.500
Rh  0.220  0.702  0.056
Rh  0.220  0.798  0.556
Rh  0.355  0.172  0.657
Rh  0.355  0.328  0.157
Rh  0.645  0.672  0.843
Rh  0.645  0.828  0.343
Rh  0.780  0.202  0.444
Rh  0.780  0.298  0.944

Main lines, most intense first (2θ = 10–90°):
- 36.76°, rel. 100
- 39.76°, rel. 88
- 35.17°, rel. 49
- 37.22°, rel. 41
- 50.25°, rel. 36
- 27.95°, rel. 35
- 44.38°, rel. 34
- 45.48°, rel. 32



No. 4
Diffraction record for PaPd6S. The PXRD pattern is calculated, not measured: it uses a DFT-relaxed cell (PBE, Alexandria) and a wavelength of 1.5418 Å.
Lines closer than 0.1° are merged.

Atomic structure:
Cell lengths 5.295, 5.295, 5.295 Å; angles 92.61, 92.61, 92.61 degrees
Atoms (fractional coordinates):
Pa  0.000  0.000  0.000
Pd  0.182  0.182  0.557
Pd  0.182  0.557  0.182
Pd  0.443  0.818  0.818
Pd  0.557  0.182  0.182
Pd  0.818  0.443  0.818
Pd  0.818  0.818  0.443
S  0.500  0.500  0.500

Main lines, most intense first (2θ = 10–90°):
- 37.32°, rel. 100
- 41.53°, rel. 93
- 30.68°, rel. 53
- 16.78°, rel. 31
- 55.81°, rel. 28
- 47.50°, rel. 18
- 43.60°, rel. 16
- 23.23°, rel. 16



No. 5
Diffraction record for Pa2Pd2S5. The PXRD pattern is calculated, not measured: it uses a DFT-relaxed cell (PBE, Alexandria) and a wavelength of 1.5418 Å.
Lines closer than 0.1° are merged.

Atomic structure:
Cell lengths 7.799, 7.799, 7.034 Å; angles 107.80, 107.80, 29.59 degrees
Atoms (fractional coordinates):
Pa  0.134  0.134  0.050
Pa  0.866  0.866  0.950
Pd  0.314  0.314  0.547
Pd  0.686  0.686  0.453
S  0.101  0.101  0.389
S  0.322  0.322  0.175
S  0.500  0.500  0.000
S  0.678  0.678  0.825
S  0.899  0.899  0.611

Main lines, most intense first (2θ = 10–90°):
- 34.66°, rel. 100
- 25.78°, rel. 79
- 26.72°, rel. 68
- 15.02°, rel. 67
- 41.25°, rel. 64
- 24.90°, rel. 62
- 13.27°, rel. 57
- 34.08°, rel. 56



No. 6
Diffraction record for PaPd8S2. The PXRD pattern is calculated, not measured: it uses a DFT-relaxed cell (PBE, Alexandria) and a wavelength of 1.5418 Å.
Lines closer than 0.1° are merged.

Atomic structure:
Cell lengths 7.039, 7.039, 4.807 Å; angles 99.40, 99.40, 55.07 degrees
Atoms (fractional coordinates):
Pa  0.000  0.000  0.000
Pd  0.186  0.632  0.293
Pd  0.222  0.222  0.091
Pd  0.368  0.814  0.707
Pd  0.403  0.403  0.791
Pd  0.597  0.597  0.209
Pd  0.632  0.186  0.293
Pd  0.778  0.778  0.909
Pd  0.814  0.368  0.707
S  0.198  0.198  0.572
S  0.802  0.802  0.428

Main lines, most intense first (2θ = 10–90°):
- 35.11°, rel. 100
- 39.23°, rel. 73
- 33.44°, rel. 54
- 42.39°, rel. 50
- 39.99°, rel. 49
- 53.10°, rel. 38
- 14.44°, rel. 36
- 56.58°, rel. 35



No. 7
Diffraction record for Pa6Pd3S14. The PXRD pattern is calculated, not measured: it uses a DFT-relaxed cell (PBE, Alexandria) and a wavelength of 1.5418 Å.
Lines closer than 0.1° are merged.

Atomic structure:
Cell lengths 9.670, 9.670, 5.649 Å; angles 90.00, 90.00, 120.00 degrees
Atoms (fractional coordinates):
Pa  0.043  0.486  0.000
Pa  0.293  0.182  0.502
Pa  0.443  0.957  0.000
Pa  0.514  0.557  0.000
Pa  0.818  0.112  0.502
Pa  0.888  0.707  0.502
Pd  0.000  0.000  0.139
Pd  0.333  0.667  0.632
Pd  0.667  0.333  0.889
S  0.000  0.000  0.715
S  0.108  0.268  0.264
S  0.160  0.892  0.264
S  0.174  0.773  0.761
S  0.227  0.401  0.761
S  0.333  0.667  0.213
S  0.394  0.217  0.986
S  0.521  0.080  0.479
S  0.560  0.479  0.479
S  0.599  0.826  0.761
S  0.732  0.840  0.264
S  0.783  0.177  0.986
S  0.823  0.606  0.986
S  0.920  0.440  0.479

Main lines, most intense first (2θ = 10–90°):
- 26.50°, rel. 100
- 37.19°, rel. 42
- 42.92°, rel. 34
- 18.95°, rel. 33
- 28.19°, rel. 26
- 35.88°, rel. 24
- 38.45°, rel. 23
- 21.22°, rel. 23



No. 8
Diffraction record for Tb2PaPd2S6. The PXRD pattern is calculated, not measured: it uses a DFT-relaxed cell (PBE, Alexandria) and a wavelength of 1.5418 Å.
Lines closer than 0.1° are merged.

Atomic structure:
Cell lengths 6.604, 6.604, 6.346 Å; angles 90.00, 90.00, 120.00 degrees
Atoms (fractional coordinates):
Tb  0.333  0.667  0.000
Tb  0.667  0.333  0.000
Pa  0.000  0.000  0.500
Pd  0.333  0.667  0.500
Pd  0.667  0.333  0.500
S  0.000  0.333  0.742
S  0.000  0.667  0.258
S  0.333  0.000  0.742
S  0.333  0.333  0.258
S  0.667  0.000  0.258
S  0.667  0.667  0.742

Main lines, most intense first (2θ = 10–90°):
- 39.38°, rel. 100
- 27.00°, rel. 80
- 20.91°, rel. 51
- 47.71°, rel. 35
- 63.52°, rel. 24
- 83.18°, rel. 23
- 28.12°, rel. 17
- 78.42°, rel. 16



Repeat the fifth record exactly.
Diffraction record for Pa2Pd2S5. The PXRD pattern is calculated, not measured: it uses a DFT-relaxed cell (PBE, Alexandria) and a wavelength of 1.5418 Å.
Lines closer than 0.1° are merged.

Atomic structure:
Cell lengths 7.799, 7.799, 7.034 Å; angles 107.80, 107.80, 29.59 degrees
Atoms (fractional coordinates):
Pa  0.134  0.134  0.050
Pa  0.866  0.866  0.950
Pd  0.314  0.314  0.547
Pd  0.686  0.686  0.453
S  0.101  0.101  0.389
S  0.322  0.322  0.175
S  0.500  0.500  0.000
S  0.678  0.678  0.825
S  0.899  0.899  0.611

Main lines, most intense first (2θ = 10–90°):
- 34.66°, rel. 100
- 25.78°, rel. 79
- 26.72°, rel. 68
- 15.02°, rel. 67
- 41.25°, rel. 64
- 24.90°, rel. 62
- 13.27°, rel. 57
- 34.08°, rel. 56